Diffraction record for Pm2OsO6. The X-ray powder pattern is calculated, not measured: it uses a crystal structure in OQMD, relaxed with GGA-PBE and Cu Ka.

Most intense lines, 2θ from 10° to 90°, by angle:
| h k l | 2θ (°) | intensity |
| --- | --- | --- |
| 0 1 1 | 18.8 | 940 |
| 1 0 -2 | 21.4 | 606 |
| 1 1 0 | 24.2 | 302 |
| 0 2 0 | 29.3 | 312 |
| 1 1 1 | 31.4 | 1000 |
| 0 2 1 | 31.7 | 361 |
| 2 0 -2 | 33.3 | 461 |
| 1 1 -3 | 34.1 | 851 |
| 2 1 -1 | 37.3 | 458 |
| 1 3 0 | 49.0 | 295 |

Cell and atoms:
```
data_Pm2OsO6
_space_group_name_H-M_alt 'P 1 21/c 1'
_space_group_IT_number 14
_cell_length_a 5.410
_cell_length_b 6.095
_cell_length_c 8.731
_cell_angle_alpha 90.00
_cell_angle_beta 121.73
_cell_angle_gamma 90.00
loop_
_space_group_symop_operation_xyz
'x,y,z'
'-x,-y,-z'
'-x,y+1/2,-z+1/2'
'x,-y+1/2,z+1/2'
loop_
_atom_site_label
_atom_site_type_symbol
_atom_site_fract_x
_atom_site_fract_y
_atom_site_fract_z
Pm1 Pm 0.208 0.093 0.249
Os1 Os 0.500 0.000 0.000
O1 O 0.145 0.158 0.948
O2 O 0.293 0.724 0.932
O3 O 0.394 0.049 0.757
```